Simulated X-ray powder pattern
Compound: Sr2FeIO6
Radiation: Cu Kα (weighted mean of Kα1 and Kα2)
Structure: a PBE+U-relaxed structure
Intensities are scaled so that the largest is 100.

```
Sr2FeIO6
1.0
2.9026 1.6758 4.6704
-2.9026 1.6758 4.6704
0.0000 -3.3517 4.6704
Sr Fe I O
2 1 1 6
direct
0.0000 0.0000 0.0000
0.4981 0.4981 0.4981
0.2492 0.2492 0.2492
0.7493 0.7493 0.7493
0.0034 0.5573 0.4354
0.0636 0.4956 0.9417
0.4354 0.0034 0.5573
0.4956 0.9417 0.0636
0.5573 0.4354 0.0034
0.9417 0.0636 0.4956
```

Main lines, by intensity (2θ from 15° to 90°):
| d [Å] | 2theta | Rel. int. |
| --- | --- | --- |
| 2.874 | 31.12 | 100.0 |
| 2.903 | 30.80 | 96.9 |
| 2.042 | 44.36 | 63.8 |
| 1.670 | 54.97 | 41.3 |
| 1.676 | 54.78 | 23.7 |
| 1.654 | 55.57 | 19.2 |
| 1.437 | 64.89 | 18.9 |
| 1.288 | 73.54 | 17.4 |
| 1.451 | 64.17 | 17.3 |
| 1.296 | 73.04 | 16.1 |